The following is a computed powder diffraction line list of Sc2ZnHg. It was derived from a DFT-relaxed cell (GGA-PBE, the Materials Project), using Cu Ka.
Peak positions follow from Bragg's law for the DFT cell and can differ from measured ones.

Largest 6 diffraction maxima, low angle first, 2θ = 10–90°:
2theta, Rel. int., hkl
22.27, 29, 1 1 1
25.77, 31, 2 0 0
36.77, 100, 2 2 0
43.41, 16, 3 1 1
52.98, 17, 4 0 0
66.23, 34, 4 2 2

Atomic structure:
```
data_Sc2ZnHg
_chemical_formula_sum 'Sc8 Zn4 Hg4'
_space_group_name_H-M_alt 'F m -3 m'
_space_group_IT_number 225
_space_group_name_Hall '-F 4 2 3'
_cell_length_a 6.913
_cell_length_b 6.913
_cell_length_c 6.913
_cell_angle_alpha 90.00
_cell_angle_beta 90.00
_cell_angle_gamma 90.00
loop_
_atom_site_label
_atom_site_type_symbol
_atom_site_fract_x
_atom_site_fract_y
_atom_site_fract_z
_atom_site_occupancy
Sc1 Sc 0.250 0.250 0.250 1
Zn1 Zn 0.000 0.000 0.000 1
Hg1 Hg 0.000 0.000 0.500 1
```